1.
Simulated X-ray diffraction stick pattern
Compound: Ti2I3Br4
Radiation: Cu Kα
Structure: a DFT-relaxed cell (PBE, Alexandria)

Crystal structure
Cell: 15.702 11.369 7.381 Å, 90.00 106.11 90.00°
Space group C2/c (No. 15)
Unique sites:
Ti1 0.166 0.157 0.310 (multiplicity 8)
I1 0.000 0.047 0.250 (multiplicity 4)
I2 0.096 0.326 0.083 (multiplicity 8)
Br1 0.167 0.280 0.605 (multiplicity 8)
Br2 0.212 0.027 0.067 (multiplicity 8)

The 10 most intense peaks (2θ from 5° to 70°), most intense first:
- 30.67°, I = 1000, hkl 2 0 2
- 28.40°, I = 675, hkl 4 2 0
- 24.22°, I = 637, hkl 1 3 0
- 33.93°, I = 590, hkl 1 3 -2
- 29.26°, I = 590, hkl 2 2 -2
- 27.59°, I = 472, hkl 3 1 -2
- 28.09°, I = 362, hkl 1 3 1
- 14.51°, I = 332, hkl 1 1 -1
- 28.28°, I = 322, hkl 4 2 -1
- 44.11°, I = 312, hkl 3 5 -1

---

2.
Simulated X-ray diffraction stick pattern
Compound: SmEr2Cu6
Radiation: Cu Kα
Structure: a DFT-relaxed cell (PBE, Alexandria)

Crystal structure
Cell: 7.3242 7.3242 3.5734 Å, 90.00 90.00 120.00°
Space group P6/mmm (No. 191)
Unique sites:
Sm1 0.0000 0.0000 0.0000 (multiplicity 1)
Er1 0.3333 0.6667 0.0000 (multiplicity 2)
Cu1 0.0000 0.3354 0.5000 (multiplicity 6)

The 9 most intense peaks (2θ from 5° to 70°), most intense first:
- 35.09°, I = 1000, hkl 1 1 1
- 42.77°, I = 485, hkl 3 0 0
- 56.47°, I = 250, hkl 2 2 1
- 68.79°, I = 225, hkl 3 0 2
- 24.30°, I = 197, hkl 1 1 0
- 51.12°, I = 95, hkl 0 0 2
- 57.38°, I = 41, hkl 1 1 2
- 49.80°, I = 30, hkl 2 2 0
- 67.69°, I = 26, hkl 4 1 0